Structure and theoretical powder diffraction line list of LiPuIn4 (a structure optimized by DFT (PBE); CuKα).
Lines closer than 0.1° are merged.

Crystal structure
abc: 3.250 4.392 10.208
angles: 90.00 91.18 90.00
Space group P2/m (No. 10)
Unique sites:
Li 0.000 0.000 0.000 (multiplicity 1)
Pu 0.500 0.500 0.500 (multiplicity 1)
In 0.007 0.000 0.694 (multiplicity 2)
In 0.493 0.500 0.851 (multiplicity 2)

The 8 most intense peaks (2θ from 5° to 70°), sorted by position:
Position (°2θ), I/Imax, h k l
8.66, 63, 0 0 1
26.78, 44, 0 1 2
33.31, 95, 0 1 3
34.33, 100, 1 1 0
37.89, 34, 1 0 -3
38.71, 31, 1 0 3
41.11, 30, 0 2 0
57.75, 29, 1 2 3



Structure and theoretical powder diffraction line list of Cs4Ac3CeO8 (a structure optimized by DFT (PBE); CuKα).
Lines closer than 0.1° are merged.

Crystal structure
abc: 7.7308 7.7308 20.9942
angles: 90.00 90.00 120.00
Space group R-3m (No. 166, hexagonal axes)
Unique sites:
Cs 0.0000 0.0000 0.0000 (multiplicity 3)
Cs 0.0000 0.5000 0.0000 (multiplicity 9)
Ac 0.0000 0.5000 0.5000 (multiplicity 9)
Ce 0.0000 0.0000 0.5000 (multiplicity 3)
O 0.0000 0.0000 0.2235 (multiplicity 6)
O 0.0157 0.5078 0.2227 (multiplicity 18)

The 8 most intense peaks (2θ from 5° to 70°), sorted by position:
Position (°2θ), I/Imax, h k l
25.46, 44, 0 0 6
27.98, 96, 2 0 2
31.70, 100, 0 2 4
43.84, 37, 2 0 8
47.02, 34, 2 2 0
51.37, 23, 0 2 10
54.22, 35, 2 2 6
57.82, 18, 4 0 4



Structure and theoretical powder diffraction line list of NiGeBi3 (a structure optimized by DFT (PBE); CuKα).
Lines closer than 0.1° are merged.

Crystal structure
abc: 5.170 5.170 5.170
angles: 90.00 90.00 90.00
Space group Pm-3m (No. 221)
Unique sites:
Ni 0.000 0.000 0.000 (multiplicity 1)
Ge 0.500 0.500 0.500 (multiplicity 1)
Bi 0.000 0.000 0.500 (multiplicity 3)

The 8 most intense peaks (2θ from 5° to 70°), sorted by position:
Position (°2θ), I/Imax, h k l
17.15, 27, 1 0 0
29.94, 100, 1 1 1
34.70, 75, 2 0 0
38.96, 15, 2 1 0
49.89, 54, 2 2 0
53.15, 8, 3 0 0
59.28, 46, 3 1 1
62.20, 19, 2 2 2



Structure and theoretical powder diffraction line list of AsC (a structure optimized by DFT (PBE); CuKα).
Lines closer than 0.1° are merged.

Crystal structure
abc: 4.894 3.130 5.332
angles: 90.00 108.65 90.00
Space group P2/m (No. 10)
Unique sites:
As 0.243 0.000 0.197 (multiplicity 2)
C 0.403 0.500 0.066 (multiplicity 2)

The 8 most intense peaks (2θ from 5° to 70°), sorted by position:
Position (°2θ), I/Imax, h k l
17.55, 49, 0 0 1
21.47, 100, 1 0 -1
28.52, 46, 0 1 0
30.04, 64, 1 0 1
35.98, 73, 1 1 -1
41.90, 29, 1 1 1
46.16, 35, 0 1 2
48.89, 30, 2 1 0